Computed X-ray powder pattern of KLa2MnO5 for Cu Kα (λ = 1.5418 Å), from a cell relaxed with GGA+U.
Peak positions follow from Bragg's law for the DFT cell and can differ from measured ones.

Atomic structure:
```
data_KLa2MnO5
_chemical_formula_sum 'K2 La4 Mn2 O10'
_symmetry_space_group_name_H-M 'P 4/m b m'
_symmetry_Int_Tables_number 127
_symmetry_space_group_name_Hall '-P 4 2ab'
_cell_length_a 6.9182
_cell_length_b 6.9182
_cell_length_c 5.8906
_cell_angle_alpha 90.00
_cell_angle_beta 90.00
_cell_angle_gamma 90.00
loop_
_atom_site_label
_atom_site_type_symbol
_atom_site_fract_x
_atom_site_fract_y
_atom_site_fract_z
_atom_site_occupancy
K1 K 0.0000 0.0000 0.0000 1
La1 La 0.1819 0.3182 0.5000 1
Mn1 Mn 0.0000 0.5000 0.0000 1
O1 O 0.0000 0.0000 0.5000 1
O2 O 0.1325 0.6325 0.2386 1
```

Most intense lines, 5° ≤ 2θ ≤ 70°, low angle first:
5.891 Å, I 664, (0 0 1); 3.094 Å, I 304, (2 1 0); 2.983 Å, I 1000, (2 0 1); 2.945 Å, I 368, (0 0 2); 2.739 Å, I 864, (2 1 1); 2.446 Å, I 229, (2 2 0); 2.133 Å, I 628, (2 1 2); 1.658 Å, I 200, (2 1 3); 1.614 Å, I 291, (4 1 1); 1.458 Å, I 217, (4 1 2)